[1]
This entry pairs a crystal structure of Er3Ge13Ru4 with its computed X-ray powder pattern. Radiation: a wavelength of 1.5418 Å. Structure: DFT lattice parameters and positions (GGA-PBE).

Peak list (8 most intense, 2θ from 10° to 90°, by angle)
index  Position (°2θ)  intensity
2 1 0  21.97  15
2 2 2  34.35  22
3 2 0  35.80  100
3 2 1  37.20  40
4 0 0  39.87  32
4 2 2  49.36  19
5 3 2  63.39  14
6 2 2  68.86  21

Cell and atoms:
```
data_Er3Ge13Ru4
_chemical_formula_sum 'Er6 Ge26 Ru8'
_symmetry_space_group_name_H-M 'P m -3 n'
_symmetry_Int_Tables_number 223
_symmetry_space_group_name_Hall '-P 4n 2 3'
_cell_length_a 9.0446
_cell_length_b 9.0446
_cell_length_c 9.0446
_cell_angle_alpha 90.00
_cell_angle_beta 90.00
_cell_angle_gamma 90.00
loop_
_atom_site_label
_atom_site_type_symbol
_atom_site_fract_x
_atom_site_fract_y
_atom_site_fract_z
Er1 Er 0.0000 0.2500 0.5000
Ge1 Ge 0.0000 0.0000 0.0000
Ge2 Ge 0.0000 0.3071 0.1495
Ru1 Ru 0.2500 0.2500 0.2500
```

[2]
This entry pairs a crystal structure of CdNi with its computed X-ray powder pattern. Radiation: a wavelength of 1.5418 Å. Structure: DFT lattice parameters and positions (GGA-PBE).

Peak list (8 most intense, 2θ from 10° to 90°, by angle)
index  Position (°2θ)  intensity
3 1 1  24.34  29
4 0 0  29.46  49
4 2 2  36.29  32
3 3 3  38.57  27
4 4 0  42.15  100
6 2 0  47.41  25
8 4 0  69.30  20
8 4 4  77.05  25

Cell and atoms:
a = 12.1276 Å, b = 12.1276 Å, c = 12.1276 Å
α = 90.00°, β = 90.00°, γ = 90.00°
Space group Fd-3m (No. 227, origin choice 2)
Unique sites:
Cd1 0.1109 0.3750 0.3750
Ni1 0.0000 0.0000 0.0000
Ni2 0.0533 0.0533 0.6967

[3]
This entry pairs a crystal structure of Ce3Th with its computed X-ray powder pattern. Radiation: a wavelength of 1.5418 Å. Structure: DFT lattice parameters and positions (GGA-PBE).

Peak list (8 most intense, 2θ from 10° to 90°, by angle)
index  Position (°2θ)  intensity
1 1 2  32.23  100
2 0 0  37.16  34
0 0 4  37.83  16
2 0 4  54.07  23
3 1 2  63.91  28
1 1 6  64.82  14
2 2 4  67.44  12
3 1 6  88.89  12

Cell and atoms:
```
data_Ce3Th
_chemical_formula_sum 'Ce6 Th2'
_symmetry_space_group_name_H-M 'I 4/m m m'
_symmetry_Int_Tables_number 139
_symmetry_space_group_name_Hall '-I 4 2'
_cell_length_a 4.8388
_cell_length_b 4.8388
_cell_length_c 9.5122
_cell_angle_alpha 90.00
_cell_angle_beta 90.00
_cell_angle_gamma 90.00
loop_
_atom_site_label
_atom_site_type_symbol
_atom_site_fract_x
_atom_site_fract_y
_atom_site_fract_z
Ce1 Ce 0.0000 0.0000 0.0000
Ce2 Ce 0.0000 0.5000 0.2500
Th1 Th 0.0000 0.0000 0.5000
```

[4]
This entry pairs a crystal structure of CaAl2Si6O20 with its computed X-ray powder pattern. Radiation: a wavelength of 1.5418 Å. Structure: DFT lattice parameters and positions (GGA-PBE).

Peak list (8 most intense, 2θ from 10° to 90°, by angle)
index  Position (°2θ)  intensity
0 2 0  12.52  35
1 1 -1  14.98  100
0 0 2  18.72  87
1 0 -2  18.88  82
1 1 1  20.34  36
1 0 2  27.18  32
1 4 0  28.84  99
2 2 -2  30.23  25

Cell and atoms:
```
data_CaAl2Si6O20
_chemical_formula_sum 'Ca2 Al4 Si12 O40'
_symmetry_space_group_name_H-M 'P 1 c 1'
_symmetry_Int_Tables_number 7
_symmetry_space_group_name_Hall 'P -2yc'
_cell_length_a 6.8749
_cell_length_b 14.1407
_cell_length_c 10.1348
_cell_angle_alpha 90.00
_cell_angle_beta 111.19
_cell_angle_gamma 90.00
loop_
_atom_site_label
_atom_site_type_symbol
_atom_site_fract_x
_atom_site_fract_y
_atom_site_fract_z
Ca1 Ca 0.0000 0.2162 0.0000
Al1 Al 0.3492 0.3560 0.2238
Al2 Al 0.9537 0.0076 0.5740
Si1 Si 0.2968 0.1502 0.5570
Si2 Si 0.3129 0.3729 0.5354
Si3 Si 0.3631 0.1248 0.2664
Si4 Si 0.6637 0.0376 0.7656
Si5 Si 0.6944 0.4999 0.1952
Si6 Si 0.9795 0.4752 0.0125
O1 O 0.0727 0.1025 0.5263
O2 O 0.1172 0.3796 0.0732
O3 O 0.1254 0.4315 0.5620
O4 O 0.1432 0.0787 0.1620
O5 O 0.2851 0.2636 0.5721
O6 O 0.2935 0.1537 0.9419
O7 O 0.3092 0.3867 0.3771
O8 O 0.3488 0.2316 0.2024
O9 O 0.3830 0.1242 0.4306
O10 O 0.4684 0.1121 0.7072
O11 O 0.5342 0.4101 0.6524
O12 O 0.5658 0.0692 0.2573
O13 O 0.5744 0.4055 0.2125
O14 O 0.6503 0.2846 0.9137
O15 O 0.7892 0.4826 0.0713
O16 O 0.8045 0.0653 0.9291
O17 O 0.8089 0.0445 0.6720
O18 O 0.8537 0.2356 0.1892
O19 O 0.8832 0.4686 0.8403
O20 O 0.9320 0.2494 0.7512
```

[5]
This entry pairs a crystal structure of NdFe10Re2 with its computed X-ray powder pattern. Radiation: a wavelength of 1.5418 Å. Structure: DFT lattice parameters and positions (GGA-PBE).

Peak list (8 most intense, 2θ from 10° to 90°, by angle)
index  Position (°2θ)  intensity
1 1 0  21.64  68
0 1 3  32.26  42
1 0 3  36.11  55
1 3 0  37.01  62
2 0 0  38.41  36
1 2 3  42.06  100
0 4 0  42.46  82
2 2 0  44.10  66

Cell and atoms:
```
data_NdFe10Re2
_chemical_formula_sum 'Nd2 Fe20 Re4'
_symmetry_space_group_name_H-M 'I m m m'
_symmetry_Int_Tables_number 71
_symmetry_space_group_name_Hall '-I 2 2'
_cell_length_a 4.6870
_cell_length_b 8.5212
_cell_length_c 8.8057
_cell_angle_alpha 90.00
_cell_angle_beta 90.00
_cell_angle_gamma 90.00
loop_
_atom_site_label
_atom_site_type_symbol
_atom_site_fract_x
_atom_site_fract_y
_atom_site_fract_z
Nd1 Nd 0.0000 0.0000 0.0000
Fe1 Fe 0.0000 0.2753 0.5000
Fe2 Fe 0.0000 0.3602 0.0000
Fe3 Fe 0.0000 0.5000 0.2653
Fe4 Fe 0.2500 0.2500 0.2500
Re1 Re 0.0000 0.0000 0.3590
```

[6]
This entry pairs a crystal structure of Na3Zr with its computed X-ray powder pattern. Radiation: a wavelength of 1.5418 Å. Structure: DFT lattice parameters and positions (GGA-PBE).

Peak list (8 most intense, 2θ from 10° to 90°, by angle)
index  Position (°2θ)  intensity
1 0 0  14.72  22
1 0 1  21.68  54
1 1 0  25.64  24
2 0 0  29.69  24
0 0 2  31.98  26
2 0 1  33.82  100
2 0 3  58.18  19
2 2 2  62.98  20

Cell and atoms:
```
data_Na3Zr
_chemical_formula_sum 'Na6 Zr2'
_symmetry_space_group_name_H-M 'P 63/m m c'
_symmetry_Int_Tables_number 194
_symmetry_space_group_name_Hall '-P 6c 2c'
_cell_length_a 6.9481
_cell_length_b 6.9481
_cell_length_c 5.5976
_cell_angle_alpha 90.00
_cell_angle_beta 90.00
_cell_angle_gamma 120.00
loop_
_atom_site_label
_atom_site_type_symbol
_atom_site_fract_x
_atom_site_fract_y
_atom_site_fract_z
Na1 Na 0.1666 0.3332 0.2500
Zr1 Zr 0.3333 0.6667 0.7500
```

[7]
This entry pairs a crystal structure of MgGe2 with its computed X-ray powder pattern. Radiation: a wavelength of 1.5418 Å. Structure: DFT lattice parameters and positions (GGA-PBE).

Peak list (8 most intense, 2θ from 10° to 90°, by angle)
index  Position (°2θ)  intensity
0 0 1  14.75  30
2 0 0  18.23  40
1 1 1  31.95  56
4 0 -2  34.80  68
1 1 -2  36.17  100
3 1 0  36.84  76
0 2 0  49.26  27
4 2 -2  61.73  28

Cell and atoms:
```
data_MgGe2
_chemical_formula_sum 'Mg4 Ge8'
_symmetry_space_group_name_H-M 'C 1 2/m 1'
_symmetry_Int_Tables_number 12
_symmetry_space_group_name_Hall '-C 2y'
_cell_length_a 11.0430
_cell_length_b 3.6997
_cell_length_c 6.8152
_cell_angle_alpha 90.00
_cell_angle_beta 118.17
_cell_angle_gamma 90.00
loop_
_atom_site_label
_atom_site_type_symbol
_atom_site_fract_x
_atom_site_fract_y
_atom_site_fract_z
Mg1 Mg 0.1847 0.0000 0.1507
Ge1 Ge 0.0292 0.5000 0.7936
Ge2 Ge 0.1196 0.0000 0.5146
```

[8]
This entry pairs a crystal structure of Ca2SnS4 with its computed X-ray powder pattern. Radiation: a wavelength of 1.5418 Å. Structure: DFT lattice parameters and positions (GGA-PBE).

Peak list (8 most intense, 2θ from 10° to 90°, by angle)
index  Position (°2θ)  intensity
0 0 2  12.49  100
1 0 1  18.84  74
1 1 0  25.21  97
1 0 3  25.96  59
2 0 0  35.95  97
1 0 5  36.45  66
0 0 6  38.15  54
2 0 6  53.41  50

Cell and atoms:
```
data_Ca2SnS4
_chemical_formula_sum 'Ca4 Sn2 S8'
_symmetry_space_group_name_H-M 'I 4/m m m'
_symmetry_Int_Tables_number 139
_symmetry_space_group_name_Hall '-I 4 2'
_cell_length_a 4.9956
_cell_length_b 4.9956
_cell_length_c 14.1692
_cell_angle_alpha 90.00
_cell_angle_beta 90.00
_cell_angle_gamma 90.00
loop_
_atom_site_label
_atom_site_type_symbol
_atom_site_fract_x
_atom_site_fract_y
_atom_site_fract_z
Ca1 Ca 0.0000 0.0000 0.1356
Sn1 Sn 0.0000 0.0000 0.5000
S1 S 0.0000 0.0000 0.3248
S2 S 0.0000 0.5000 0.0000
```

[9]
This entry pairs a crystal structure of KCaEr2CuS5 with its computed X-ray powder pattern. Radiation: a wavelength of 1.5418 Å. Structure: DFT lattice parameters and positions (GGA-PBE).

Peak list (8 most intense, 2θ from 10° to 90°, by angle)
index  Position (°2θ)  intensity
0 2 0  13.03  100
0 2 4  24.59  28
1 1 3  28.29  51
1 3 1  30.50  29
1 3 2  31.85  29
1 3 3  33.99  47
1 5 3  43.43  22
1 5 4  45.75  26

Cell and atoms:
```
data_KCaEr2CuS5
_chemical_formula_sum 'K4 Ca4 Er8 Cu4 S20'
_symmetry_space_group_name_H-M 'C m c m'
_symmetry_Int_Tables_number 63
_symmetry_space_group_name_Hall '-C 2c 2'
_cell_length_a 3.9433
_cell_length_b 13.5925
_cell_length_c 17.1083
_cell_angle_alpha 90.00
_cell_angle_beta 90.00
_cell_angle_gamma 90.00
loop_
_atom_site_label
_atom_site_type_symbol
_atom_site_fract_x
_atom_site_fract_y
_atom_site_fract_z
K1 K 0.0000 0.0240 0.2500
Ca1 Ca 0.0000 0.5000 0.0000
Er1 Er 0.0000 0.2294 0.6031
Cu1 Cu 0.0000 0.2964 0.2500
S1 S 0.0000 0.1440 0.0468
S2 S 0.0000 0.2985 0.7500
S3 S 0.0000 0.3956 0.1387
```

[10]
This entry pairs a crystal structure of TlN with its computed X-ray powder pattern. Radiation: a wavelength of 1.5418 Å. Structure: DFT lattice parameters and positions (GGA-PBE).

Peak list (7 most intense, 2θ from 10° to 90°, by angle)
index  Position (°2θ)  intensity
1 0 0  28.24  97
1 1 0  40.37  100
1 1 1  49.99  29
2 0 0  58.41  17
2 1 0  66.12  38
2 1 1  73.39  34
2 2 0  87.27  11

Cell and atoms:
```
data_TlN
_chemical_formula_sum 'Tl1 N1'
_symmetry_space_group_name_H-M 'P m -3 m'
_symmetry_Int_Tables_number 221
_symmetry_space_group_name_Hall '-P 4 2 3'
_cell_length_a 3.1600
_cell_length_b 3.1600
_cell_length_c 3.1600
_cell_angle_alpha 90.00
_cell_angle_beta 90.00
_cell_angle_gamma 90.00
loop_
_atom_site_label
_atom_site_type_symbol
_atom_site_fract_x
_atom_site_fract_y
_atom_site_fract_z
Tl1 Tl 0.0000 0.0000 0.0000
N1 N 0.5000 0.5000 0.5000
```